[1]
The following is a computed XRD peak list of NaLaSmTe3. It was derived from the PBE geometry in Alexandria, using a wavelength of 1.5418 Å.

Main lines, low angle first (5 to 70 degrees two-theta):
2theta  d (Å)  I_rel
9.2  9.633  34
27.8  3.211  68
28.3  3.151  100
28.6  3.122  96
33.7  2.659  45
36.1  2.487  37
37.2  2.418  30
39.8  2.266  37
40.5  2.229  49
49.8  1.831  27

Structure:
```
data_NaLaSmTe3
_chemical_formula_sum 'Na2 La2 Sm2 Te6'
_symmetry_space_group_name_H-M 'P 1 21/m 1'
_symmetry_Int_Tables_number 11
_cell_length_a 9.0716
_cell_length_b 4.4590
_cell_length_c 9.9932
_cell_angle_alpha 90.00
_cell_angle_beta 105.43
_cell_angle_gamma 90.00
loop_
_symmetry_equiv_pos_as_xyz
'x,y,z'
'-x,-y,-z'
'-x,y+1/2,-z'
'x,-y+1/2,z'
loop_
_atom_site_label
_atom_site_fract_x
_atom_site_fract_y
_atom_site_fract_z
Na1 0.0949 0.2500 0.0866
La1 0.1999 0.2500 0.7307
Sm1 0.3321 0.7500 0.3465
Te1 0.0890 0.2500 0.3808
Te2 0.2614 0.7500 0.9947
Te3 0.4353 0.7500 0.6725
```

---

[2]
The following is a computed XRD peak list of NaLaSnTe3. It was derived from the PBE geometry in Alexandria, using a wavelength of 1.5418 Å.

Main lines, low angle first (5 to 70 degrees two-theta):
2theta  d (Å)  I_rel
8.6  10.316  74
25.9  3.439  47
28.0  3.187  100
28.1  3.173  82
32.5  2.755  31
32.9  2.723  38
35.1  2.556  28
35.6  2.520  50
38.7  2.325  38
40.4  2.230  41

Structure:
```
data_NaLaSnTe3
_chemical_formula_sum 'Na2 La2 Sn2 Te6'
_symmetry_space_group_name_H-M 'P 1 21/m 1'
_symmetry_Int_Tables_number 11
_cell_length_a 9.3008
_cell_length_b 4.4601
_cell_length_c 10.6231
_cell_angle_alpha 90.00
_cell_angle_beta 103.82
_cell_angle_gamma 90.00
loop_
_symmetry_equiv_pos_as_xyz
'x,y,z'
'-x,-y,-z'
'-x,y+1/2,-z'
'x,-y+1/2,z'
loop_
_atom_site_label
_atom_site_fract_x
_atom_site_fract_y
_atom_site_fract_z
Na1 0.1327 0.2500 0.1068
La1 0.1817 0.2500 0.7200
Sn1 0.3269 0.7500 0.3691
Te1 0.0919 0.2500 0.3955
Te2 0.2219 0.7500 0.9441
Te3 0.4219 0.7500 0.6528
```

---

[3]
The following is a computed XRD peak list of Na4La3SnTe8. It was derived from the PBE geometry in Alexandria, using a wavelength of 1.5418 Å.

Main lines, low angle first (5 to 70 degrees two-theta):
2theta  d (Å)  I_rel
11.8  7.517  23
22.7  3.924  10
23.7  3.758  9
27.4  3.254  100
35.8  2.505  8
39.1  2.301  76
41.0  2.200  7
48.5  1.879  27
56.6  1.627  13
64.0  1.455  34

Structure:
```
data_Na4La3SnTe8
_chemical_formula_sum 'Na12 La9 Sn3 Te24'
_symmetry_space_group_name_H-M 'R -3 m'
_symmetry_Int_Tables_number 166
_symmetry_space_group_name_Hall '-R 3 2"'
_cell_length_a 9.2029
_cell_length_b 9.2029
_cell_length_c 22.5511
_cell_angle_alpha 90.00
_cell_angle_beta 90.00
_cell_angle_gamma 120.00
loop_
_atom_site_label
_atom_site_fract_x
_atom_site_fract_y
_atom_site_fract_z
Na1 0.0000 0.0000 0.0000
Na2 0.0000 0.5000 0.0000
La1 0.0000 0.5000 0.5000
Sn1 0.0000 0.0000 0.5000
Te1 0.0000 0.0000 0.2475
Te2 0.0106 0.5053 0.2458
```

---

[4]
The following is a computed XRD peak list of NaSr4La3Te8. It was derived from the PBE geometry in Alexandria, using a wavelength of 1.5418 Å.

Main lines, low angle first (5 to 70 degrees two-theta):
2theta  d (Å)  I_rel
27.0  3.297  100
38.5  2.336  38
38.7  2.327  38
47.6  1.911  7
47.8  1.901  21
55.8  1.648  13
62.9  1.477  18
63.2  1.472  18
69.6  1.350  6
69.9  1.345  13

Structure:
```
data_NaSr4La3Te8
_chemical_formula_sum 'Na2 Sr8 La6 Te16'
_symmetry_space_group_name_H-M 'C 1 2/m 1'
_symmetry_Int_Tables_number 12
_cell_length_a 16.1236
_cell_length_b 9.3069
_cell_length_c 9.3439
_cell_angle_alpha 90.00
_cell_angle_beta 125.12
_cell_angle_gamma 90.00
loop_
_symmetry_equiv_pos_as_xyz
'x,y,z'
'-x,-y,-z'
'-x,y,-z'
'x,-y,z'
'x+1/2,y+1/2,z'
'-x+1/2,-y+1/2,-z'
'-x+1/2,y+1/2,-z'
'x+1/2,-y+1/2,z'
loop_
_atom_site_label
_atom_site_fract_x
_atom_site_fract_y
_atom_site_fract_z
Na1 0.0000 0.0000 0.0000
Sr1 0.0000 0.0000 0.5000
Sr2 0.0000 0.5000 0.5000
Sr3 0.2500 0.2500 0.5000
La1 0.0000 0.5000 0.0000
La2 0.2500 0.2500 0.0000
Te1 0.0030 0.2507 0.7583
Te2 0.2485 0.0000 0.2429
Te3 0.2481 0.5000 0.2440
```

---

[5]
The following is a computed XRD peak list of Na3LaTc. It was derived from the PBE geometry in Alexandria, using a wavelength of 1.5418 Å.

Main lines, low angle first (5 to 70 degrees two-theta):
2theta  d (Å)  I_rel
9.7  9.072  100
29.5  3.023  24
29.8  2.995  52
30.4  2.942  27
32.0  2.799  37
33.8  2.655  14
34.3  2.618  34
37.1  2.424  20
40.4  2.234  22
53.9  1.700  19

Structure:
```
data_Na3LaTc
_chemical_formula_sum 'Na6 La2 Tc2'
_symmetry_space_group_name_H-M 'P 1 21/m 1'
_symmetry_Int_Tables_number 11
_cell_length_a 4.4700
_cell_length_b 4.1314
_cell_length_c 18.2749
_cell_angle_alpha 90.00
_cell_angle_beta 96.88
_cell_angle_gamma 90.00
loop_
_symmetry_equiv_pos_as_xyz
'x,y,z'
'-x,-y,-z'
'-x,y+1/2,-z'
'x,-y+1/2,z'
loop_
_atom_site_label
_atom_site_fract_x
_atom_site_fract_y
_atom_site_fract_z
Na1 0.1140 0.2500 0.2223
Na2 0.2226 0.2500 0.4447
Na3 0.3329 0.2500 0.6667
La1 0.4523 0.2500 0.9101
Tc1 0.0347 0.7500 0.9703
```

---

[6]
The following is a computed XRD peak list of NaLa4Tc. It was derived from the PBE geometry in Alexandria, using a wavelength of 1.5418 Å.

Main lines, low angle first (5 to 70 degrees two-theta):
2theta  d (Å)  I_rel
11.2  7.883  100
27.5  3.242  28
28.7  3.115  56
28.8  3.101  41
29.0  3.081  42
29.1  3.070  22
32.2  2.782  12
36.0  2.495  37
38.5  2.337  23
38.6  2.330  13

Structure:
```
data_NaLa4Tc
_chemical_formula_sum 'Na2 La8 Tc2'
_symmetry_space_group_name_H-M 'P -1'
_symmetry_Int_Tables_number 2
_cell_length_a 6.4844
_cell_length_b 7.8715
_cell_length_c 7.8968
_cell_angle_alpha 90.06
_cell_angle_beta 90.41
_cell_angle_gamma 90.96
loop_
_symmetry_equiv_pos_as_xyz
'x,y,z'
'-x,-y,-z'
loop_
_atom_site_label
_atom_site_fract_x
_atom_site_fract_y
_atom_site_fract_z
Na1 0.2493 0.0046 0.4874
La1 0.0130 0.6184 0.3014
La2 0.0199 0.7991 0.8819
La3 0.4768 0.2019 0.8804
La4 0.4982 0.6199 0.6985
Tc1 0.2500 0.4997 0.0006
```

---

[7]
The following is a computed XRD peak list of Na3LaTc. It was derived from the PBE geometry in Alexandria, using a wavelength of 1.5418 Å.

Main lines, low angle first (5 to 70 degrees two-theta):
2theta  d (Å)  I_rel
7.1  12.461  100
10.6  8.308  16
29.6  3.014  14
30.1  2.971  8
31.4  2.851  7
31.7  2.819  14
32.3  2.773  10
34.1  2.628  13
44.1  2.053  17
44.2  2.047  9

Structure:
```
data_Na3LaTc
_chemical_formula_sum 'Na6 La2 Tc2'
_symmetry_space_group_name_H-M 'P 1'
_symmetry_Int_Tables_number 1
_cell_length_a 4.1044
_cell_length_b 4.1051
_cell_length_c 25.0186
_cell_angle_alpha 93.90
_cell_angle_beta 90.78
_cell_angle_gamma 119.97
loop_
_symmetry_equiv_pos_as_xyz
'x,y,z'
loop_
_atom_site_label
_atom_site_fract_x
_atom_site_fract_y
_atom_site_fract_z
Na1 0.0000 0.0000 0.0000
Na2 0.0701 0.1504 0.2270
Na3 0.2976 0.5934 0.8875
Na4 0.7000 0.4080 0.1141
Na5 0.7749 0.5672 0.3417
Na6 0.9274 0.8519 0.7736
La1 0.4856 0.9936 0.4727
La2 0.5476 0.0960 0.6438
Tc1 0.1784 0.3707 0.5456
Tc2 0.8550 0.7197 0.5714
```

---

[8]
The following is a computed XRD peak list of NaLa6Te8. It was derived from the PBE geometry in Alexandria, using a wavelength of 1.5418 Å.

Main lines, low angle first (5 to 70 degrees two-theta):
2theta  d (Å)  I_rel
18.5  4.807  38
27.7  3.223  40
28.7  3.106  29
29.9  2.993  42
32.3  2.776  100
33.5  2.677  93
34.0  2.638  26
43.0  2.103  31
47.2  1.927  23
67.2  1.394  23

Structure:
```
data_NaLa6Te8
_chemical_formula_sum 'Na3 La18 Te24'
_symmetry_space_group_name_H-M 'R -3'
_symmetry_Int_Tables_number 148
_symmetry_space_group_name_Hall '-R 3'
_cell_length_a 9.6149
_cell_length_b 9.6149
_cell_length_c 19.3404
_cell_angle_alpha 90.00
_cell_angle_beta 90.00
_cell_angle_gamma 120.00
loop_
_atom_site_label
_atom_site_fract_x
_atom_site_fract_y
_atom_site_fract_z
Na1 0.0000 0.0000 0.0000
La1 0.0034 0.6224 0.9227
Te1 0.0000 0.0000 0.3324
Te2 0.0065 0.7261 0.0898
```